Entry 1:
# Sc3Al3Os2Ru
Calculated X-ray powder pattern, Cu Kα X-rays. Input: a crystal structure in Alexandria, relaxed with GGA-PBE.
Intensities are scaled so that the largest is 100.

Crystal structure
```
Sc3Al3Os2Ru
1.0
7.255 0.000 0.000
-3.628 6.283 0.000
0.000 0.000 3.331
Sc Al Os Ru
3 3 2 1
Cartesian
-1.407 2.437 0.000
2.814 0.000 0.000
2.221 3.846 0.000
-2.627 4.549 1.666
1.001 1.734 1.666
5.253 0.000 1.666
0.000 4.189 1.666
3.628 2.094 1.666
0.000 0.000 0.000
```

Top 10 peaks for 2θ = 15–90°, low angle first:
Position (°2θ)  d_spacing  I (rel.)
24.54  3.628  100
30.37  2.943  50
36.62  2.454  56
39.42  2.286  56
43.19  2.094  59
46.99  1.934  45
50.30  1.814  18
61.23  1.514  17
71.29  1.323  21
72.51  1.304  25

***

Entry 2:
# Sc4AlOs3
Calculated X-ray powder pattern, Cu Kα X-rays. Input: a crystal structure in Alexandria, relaxed with GGA-PBE.
Intensities are scaled so that the largest is 100.

Crystal structure
```
Sc4AlOs3
1.0
4.575 0.000 0.000
0.000 4.575 0.000
0.000 0.000 6.569
Sc Al Os
4 1 3
Cartesian
0.000 2.288 1.564
0.000 2.288 5.006
2.288 0.000 1.564
2.288 0.000 5.006
0.000 0.000 3.285
0.000 0.000 0.000
2.288 2.288 0.000
2.288 2.288 3.285
```

Top 10 peaks for 2θ = 15–90°, low angle first:
Position (°2θ)  d_spacing  I (rel.)
19.40  4.575  12
23.70  3.754  16
27.15  3.285  18
27.57  3.235  35
39.08  2.305  100
39.39  2.288  49
48.49  1.877  16
56.93  1.618  17
70.60  1.334  17
71.22  1.324  33

***

Entry 3:
# Sc2AlOs3
Calculated X-ray powder pattern, Cu Kα X-rays. Input: a crystal structure in Alexandria, relaxed with GGA-PBE.
Intensities are scaled so that the largest is 100.

Crystal structure
```
Sc2AlOs3
1.0
4.456 -2.626 0.000
4.456 2.626 0.000
-2.892 0.000 4.290
Sc Al Os
2 1 3
Cartesian
-0.003 0.000 1.623
6.022 0.000 2.667
4.456 0.000 0.000
2.228 1.313 0.000
2.228 -1.313 0.000
3.010 0.000 2.145
```

Top 10 peaks for 2θ = 15–90°, low angle first:
Position (°2θ)  d_spacing  I (rel.)
20.73  4.284  31
21.22  4.186  100
34.70  2.586  25
40.14  2.247  32
40.27  2.240  63
40.46  2.229  26
42.19  2.142  82
43.22  2.093  24
49.47  1.843  25
54.36  1.688  25

***

Entry 4:
# Sc3AlOs2
Calculated X-ray powder pattern, Cu Kα X-rays. Input: a crystal structure in Alexandria, relaxed with GGA-PBE.
Intensities are scaled so that the largest is 100.

Crystal structure
```
Sc3AlOs2
1.0
3.293 0.000 0.000
0.000 3.293 0.000
0.000 0.000 9.720
Sc Al Os
3 1 2
Cartesian
0.000 0.000 0.000
0.000 0.000 3.062
0.000 0.000 6.657
1.646 1.646 4.860
1.646 1.646 1.631
1.646 1.646 8.089
```

Top 10 peaks for 2θ = 15–90°, low angle first:
Position (°2θ)  d_spacing  I (rel.)
18.25  4.860  19
27.08  3.293  32
27.53  3.240  16
28.62  3.119  18
38.67  2.328  52
39.00  2.309  100
48.13  1.891  15
55.85  1.646  18
70.21  1.341  35
70.87  1.330  16

***

Entry 5:
# Sc6Al3Os
Calculated X-ray powder pattern, Cu Kα X-rays. Input: a crystal structure in Alexandria, relaxed with GGA-PBE.
Intensities are scaled so that the largest is 100.

Crystal structure
```
Sc6Al3Os
1.0
8.304 0.000 0.000
0.000 4.806 0.000
-3.466 0.000 9.951
Sc Al Os
12 6 2
Cartesian
-1.135 1.202 4.142
0.862 3.605 1.658
2.222 1.202 0.066
0.097 3.605 8.125
1.860 1.202 3.335
1.116 1.202 6.323
3.722 3.605 3.628
2.978 3.605 6.617
4.741 1.202 1.827
2.616 3.605 9.885
3.976 1.202 8.293
5.973 3.605 5.809
-2.800 3.605 8.736
-1.606 1.202 7.166
0.606 3.605 4.693
4.232 1.202 5.258
6.444 3.605 2.785
7.638 1.202 1.216
3.472 3.605 0.946
1.366 1.202 9.005
```

Top 10 peaks for 2θ = 15–90°, low angle first:
Position (°2θ)  d_spacing  I (rel.)
16.53  5.361  41
21.99  4.042  28
25.75  3.460  38
35.83  2.506  39
37.42  2.403  58
37.57  2.394  90
37.71  2.386  100
38.12  2.361  24
52.77  1.735  25
67.65  1.385  31

***

Entry 6:
# Al2SiOs
Calculated X-ray powder pattern, Cu Kα X-rays. Input: a crystal structure in Alexandria, relaxed with GGA-PBE.
Intensities are scaled so that the largest is 100.

Crystal structure
```
Al2SiOs
1.0
4.062 0.000 0.000
0.000 1.542 4.744
0.000 -1.542 4.744
Al Si Os
2 1 1
Cartesian
0.000 0.000 0.000
2.031 0.000 3.089
0.000 0.000 6.970
2.031 0.000 5.680
```

Top 10 peaks for 2θ = 15–90°, low angle first:
Position (°2θ)  d_spacing  I (rel.)
18.70  4.744  86
21.88  4.062  54
28.94  3.086  54
30.48  2.933  63
37.85  2.377  100
40.87  2.208  33
44.21  2.049  47
44.61  2.031  25
46.83  1.940  56
54.99  1.670  24

***

Entry 7:
# Sm3Al12Os4
Calculated X-ray powder pattern, Cu Kα X-rays. Input: a crystal structure in Alexandria, relaxed with GGA-PBE.
Intensities are scaled so that the largest is 100.

Crystal structure
```
Sm3Al12Os4
1.0
8.857 0.000 0.000
-4.429 7.671 0.000
0.000 0.000 9.681
Sm Al Os
6 24 8
Cartesian
0.000 2.955 2.420
-1.869 6.193 2.420
2.559 1.478 7.261
1.869 6.193 2.420
6.298 1.478 7.261
4.429 4.715 7.261
0.000 0.000 2.420
0.000 0.000 7.261
-1.386 4.313 7.261
0.000 2.510 5.559
0.000 2.510 8.963
-2.255 6.416 5.559
-2.255 6.416 8.963
2.174 1.255 0.718
2.174 1.255 4.123
0.000 5.114 0.149
0.000 5.114 4.692
1.386 4.313 7.261
0.000 6.715 7.261
4.429 0.956 2.420
3.042 3.357 2.420
4.429 2.557 4.989
4.429 2.557 9.533
2.255 6.416 5.559
2.255 6.416 8.963
6.684 1.255 0.718
6.684 1.255 4.123
4.429 5.161 0.718
4.429 5.161 4.123
5.815 3.357 2.420
0.000 0.000 0.000
0.000 0.000 4.841
-2.214 3.835 0.000
-2.214 3.835 4.841
4.429 0.000 0.000
4.429 0.000 4.841
2.214 3.835 0.000
2.214 3.835 4.841
```

Top 10 peaks for 2θ = 15–90°, low angle first:
Position (°2θ)  d_spacing  I (rel.)
23.19  3.835  34
24.97  3.566  20
29.72  3.006  100
36.37  2.470  34
37.15  2.420  24
40.75  2.214  55
44.25  2.047  19
51.24  1.783  21
56.31  1.634  30
67.44  1.389  19

***

Entry 8:
# Tb3Al12Os4
Calculated X-ray powder pattern, Cu Kα X-rays. Input: a crystal structure in Alexandria, relaxed with GGA-PBE.
Intensities are scaled so that the largest is 100.

Crystal structure
```
Tb3Al12Os4
1.0
8.815 0.000 0.000
-4.407 7.634 0.000
0.000 0.000 9.625
Tb Al Os
6 24 8
Cartesian
0.000 2.953 2.406
-1.850 6.157 2.406
2.557 1.476 7.219
1.850 6.157 2.406
6.257 1.476 7.219
4.407 4.681 7.219
0.000 0.000 2.406
0.000 0.000 7.219
-1.385 4.290 7.219
0.000 2.498 5.535
0.000 2.498 8.902
-2.244 6.385 5.535
-2.244 6.385 8.902
2.163 1.249 0.723
2.163 1.249 4.090
0.000 5.089 0.176
0.000 5.089 4.637
1.385 4.290 7.219
0.000 6.688 7.219
4.407 0.945 2.406
3.022 3.344 2.406
4.407 2.545 4.989
4.407 2.545 9.449
2.244 6.385 5.535
2.244 6.385 8.902
6.652 1.249 0.723
6.652 1.249 4.090
4.407 5.136 0.723
4.407 5.136 4.090
5.792 3.344 2.406
0.000 0.000 0.000
0.000 0.000 4.813
-2.204 3.817 0.000
-2.204 3.817 4.813
4.407 0.000 0.000
4.407 0.000 4.813
2.204 3.817 0.000
2.204 3.817 4.813
```

Top 10 peaks for 2θ = 15–90°, low angle first:
Position (°2θ)  d_spacing  I (rel.)
23.31  3.817  32
25.10  3.548  21
29.88  2.991  100
36.57  2.457  36
37.37  2.406  24
40.95  2.204  54
44.51  2.036  18
51.51  1.774  20
56.64  1.625  30
67.82  1.382  19

***

Entry 9:
# Tb4Al12Os
Calculated X-ray powder pattern, Cu Kα X-rays. Input: a crystal structure in Alexandria, relaxed with GGA-PBE.
Intensities are scaled so that the largest is 100.

Crystal structure
```
Tb4Al12Os
1.0
-4.334 4.334 4.334
4.334 -4.334 4.334
4.334 4.334 -4.334
Tb Al Os
4 12 1
Cartesian
2.167 2.167 -2.167
2.167 -2.167 2.167
-2.167 2.167 2.167
2.167 2.167 2.167
2.487 0.000 0.000
6.180 0.000 0.000
4.334 2.167 0.000
4.334 0.000 2.167
0.000 2.487 0.000
0.000 0.000 2.487
2.167 4.334 0.000
2.167 0.000 4.334
0.000 6.180 0.000
0.000 0.000 6.180
0.000 4.334 2.167
0.000 2.167 4.334
0.000 0.000 0.000
```

Top 10 peaks for 2θ = 15–90°, low angle first:
Position (°2θ)  d_spacing  I (rel.)
20.49  4.334  24
25.17  3.538  15
29.14  3.064  100
35.89  2.502  42
38.88  2.316  17
41.68  2.167  46
51.67  1.769  39
60.42  1.532  30
68.47  1.370  20
83.46  1.158  22

***

Entry 10:
# AlTcOs
Calculated X-ray powder pattern, Cu Kα X-rays. Input: a crystal structure in Alexandria, relaxed with GGA-PBE.
Intensities are scaled so that the largest is 100.

Crystal structure
```
AlTcOs
1.0
-1.455 1.455 4.994
1.455 -1.455 4.994
1.455 1.455 -4.994
Al Tc Os
1 1 1
Cartesian
0.000 0.000 0.000
0.000 0.000 3.309
0.000 0.000 6.627
```

Top 10 peaks for 2θ = 15–90°, low angle first:
Position (°2θ)  d_spacing  I (rel.)
17.76  4.994  39
32.04  2.793  38
41.21  2.191  100
44.02  2.057  41
47.82  1.902  13
55.18  1.665  11
64.01  1.455  14
73.13  1.294  18
79.02  1.212  30
89.47  1.095  11

***

Entry 11:
# AlTeOs2
Calculated X-ray powder pattern, Cu Kα X-rays. Input: a crystal structure in Alexandria, relaxed with GGA-PBE.
Intensities are scaled so that the largest is 100.

Crystal structure
```
AlTeOs2
1.0
4.596 -1.576 0.000
4.596 1.576 0.000
-1.262 0.000 4.449
Al Te Os
1 1 2
Cartesian
0.000 0.000 0.000
1.397 0.000 2.770
3.934 0.000 2.154
6.639 0.000 0.380
```

Top 10 peaks for 2θ = 15–90°, low angle first:
Position (°2θ)  d_spacing  I (rel.)
24.20  3.678  36
30.09  2.969  26
34.75  2.581  28
37.94  2.371  100
40.10  2.249  26
40.56  2.224  29
40.82  2.211  50
42.86  2.110  79
50.68  1.801  25
58.55  1.577  21

***

Entry 12:
# AlTlTeOs2
Calculated X-ray powder pattern, Cu Kα X-rays. Input: a crystal structure in Alexandria, relaxed with GGA-PBE.
Intensities are scaled so that the largest is 100.

Crystal structure
```
AlTlTeOs2
1.0
4.690 0.000 0.000
0.000 4.690 0.000
0.000 0.000 4.945
Al Tl Te Os
1 1 1 2
Cartesian
0.000 0.000 0.000
0.000 0.000 2.472
2.345 2.345 2.472
0.000 2.345 0.000
2.345 0.000 0.000
```

Top 10 peaks for 2θ = 15–90°, low angle first:
Position (°2θ)  d_spacing  I (rel.)
32.51  2.754  100
36.34  2.472  22
38.38  2.345  37
53.88  1.701  28
55.41  1.658  13
62.97  1.476  15
65.73  1.421  27
68.08  1.377  14
88.73  1.103  13
89.65  1.094  7

***

Entry 13:
# Th3Al3Os2
Calculated X-ray powder pattern, Cu Kα X-rays. Input: a crystal structure in Alexandria, relaxed with GGA-PBE.
Intensities are scaled so that the largest is 100.

Crystal structure
```
Th3Al3Os2
1.0
8.060 -2.274 0.000
8.060 2.274 0.000
-1.161 0.000 5.112
Th Al Os
3 3 2
Cartesian
0.000 0.000 0.000
1.998 0.000 2.976
12.962 0.000 2.136
4.697 0.000 4.902
7.480 0.000 2.556
10.263 0.000 0.210
3.242 0.000 0.573
11.718 0.000 4.539
```

Top 10 peaks for 2θ = 15–90°, low angle first:
Position (°2θ)  d_spacing  I (rel.)
20.33  4.368  100
25.34  3.514  29
25.95  3.434  56
33.48  2.677  58
34.22  2.620  31
34.69  2.586  72
35.95  2.498  42
39.64  2.274  52
39.75  2.268  76
71.99  1.312  26